No. 1
Theoretical XRD peak list of NpNi4TeP2 for λ = 1.5418 Å (Cu Kα), from a structure optimized by DFT (GGA-PBE).

Structural model:
Cell: 3.8404 3.8404 8.2162 Å, 90.00 90.00 90.00°
Space group P4/mmm (No. 123)
Unique sites:
Np1 0.0000 0.0000 0.0000 [1 per cell]
Ni1 0.0000 0.5000 0.2813 [4 per cell]
Te1 0.0000 0.0000 0.5000 [1 per cell]
P1 0.5000 0.5000 0.1418 [2 per cell]

Main lines, in order of rising 2θ (15 to 90 degrees two-theta):
2θ 23.16, d = 3.840 Å, I = 50
2θ 31.90, d = 2.805 Å, I = 72
2θ 34.79, d = 2.578 Å, I = 16
2θ 39.79, d = 2.265 Å, I = 100
2θ 47.34, d = 1.920 Å, I = 40
2θ 50.38, d = 1.811 Å, I = 25
2θ 58.22, d = 1.585 Å, I = 26
2θ 71.62, d = 1.318 Å, I = 18
2θ 78.19, d = 1.223 Å, I = 15
2θ 82.90, d = 1.165 Å, I = 23

No. 2
Theoretical XRD peak list of NpPa2NiS5 for λ = 1.5418 Å (Cu Kα), from a structure optimized by DFT (GGA-PBE).

Structural model:
Cell: 3.7376 16.1016 11.6444 Å, 90.00 90.00 90.00°
Space group Cmc2_1 (No. 36)
Unique sites:
Np1 0.0000 0.1781 0.0000 [4 per cell]
Pa1 0.0000 0.1135 0.3222 [4 per cell]
Pa2 0.0000 0.1162 0.6685 [4 per cell]
Ni1 0.0000 0.4527 0.3855 [4 per cell]
S1 0.0000 0.0107 0.9827 [4 per cell]
S2 0.0000 0.3006 0.6689 [4 per cell]
S3 0.0000 0.3196 0.3316 [4 per cell]
S4 0.0000 0.3462 0.9944 [4 per cell]
S5 0.0000 0.4905 0.7167 [4 per cell]

Main lines, in order of rising 2θ (15 to 90 degrees two-theta):
2θ 22.08, d = 4.025 Å, I = 34
2θ 24.45, d = 3.641 Å, I = 33
2θ 25.48, d = 3.496 Å, I = 78
2θ 29.11, d = 3.067 Å, I = 36
2θ 30.13, d = 2.966 Å, I = 21
2θ 33.75, d = 2.655 Å, I = 100
2θ 34.29, d = 2.615 Å, I = 20
2θ 37.37, d = 2.407 Å, I = 24
2θ 40.07, d = 2.250 Å, I = 42
2θ 48.72, d = 1.869 Å, I = 33

No. 3
Theoretical XRD peak list of NpNiPb for λ = 1.5418 Å (Cu Kα), from a structure optimized by DFT (GGA-PBE).

Structural model:
Cell: 4.9304 4.9304 5.7399 Å, 90.00 90.00 120.00°
Space group P6_3/mmc (No. 194)
Unique sites:
Np1 0.0000 0.0000 0.0000 [2 per cell]
Ni1 0.3333 0.6667 0.2500 [2 per cell]
Pb1 0.3333 0.6667 0.7500 [2 per cell]

Main lines, in order of rising 2θ (15 to 90 degrees two-theta):
2θ 20.80, d = 4.270 Å, I = 15
2θ 26.01, d = 3.426 Å, I = 27
2θ 36.45, d = 2.465 Å, I = 100
2θ 37.77, d = 2.382 Å, I = 97
2θ 53.49, d = 1.713 Å, I = 36
2θ 65.58, d = 1.423 Å, I = 21
2θ 66.47, d = 1.407 Å, I = 38
2θ 76.87, d = 1.240 Å, I = 24
2θ 77.41, d = 1.233 Å, I = 15
2θ 89.53, d = 1.095 Å, I = 18